Cs2Ta3CrO12: calculated powder XRD pattern (CuKα), based on a cell relaxed with PBE+U.
Intensities are scaled so that the largest is 100.

The 6 most intense peaks (2θ from 5° to 70°), in order of falling intensity:
2θ = 28.1°, rel. 100
2θ = 28.3°, rel. 84
2θ = 29.4°, rel. 71
2θ = 24.4°, rel. 40
2θ = 28.7°, rel. 40
2θ = 48.9°, rel. 40

Cell and atoms:
```
data_Cs2Ta3CrO12
_chemical_formula_sum 'Cs6 Ta9 Cr3 O36'
_symmetry_space_group_name_H-M 'R -3 m'
_symmetry_Int_Tables_number 166
_symmetry_space_group_name_Hall '-R 3 2"'
_cell_length_a 7.4567
_cell_length_b 7.4567
_cell_length_c 17.7089
_cell_angle_alpha 90.00
_cell_angle_beta 90.00
_cell_angle_gamma 120.00
loop_
_atom_site_label
_atom_site_type_symbol
_atom_site_fract_x
_atom_site_fract_y
_atom_site_fract_z
_atom_site_occupancy
Cs1 Cs 0.0000 0.0000 0.1257 1
Ta1 Ta 0.0000 0.5000 0.0000 1
Cr1 Cr 0.0000 0.0000 0.5000 1
O1 O 0.0834 0.5417 0.3576 1
O2 O 0.1023 0.5511 0.1065 1
```